1.
Theoretical X-ray diffraction stick pattern
Compound: NaY2F7
Radiation: Cu Kα (weighted mean of Kα1 and Kα2)
Structure: the GGA-PBE geometry in Alexandria

Main lines, low angle first (2θ from 5° to 70°):
two_theta, I/Imax
16.52, 100.0
24.89, 44.2
26.01, 88.3
26.46, 80.0
29.40, 44.4
34.26, 25.4
45.61, 100.0
47.53, 70.9
48.83, 32.8
52.65, 41.2

Crystal structure
Lattice parameters (Å, degrees): 3.979 3.979 10.971 100.34 100.34 59.97
Fractional positions:
1 Na 0.000 0.000 0.000
2 Y 0.430 0.430 0.294
3 Y 0.570 0.570 0.706
4 F 0.081 0.081 0.245
5 F 0.222 0.222 0.663
6 F 0.364 0.364 0.094
7 F 0.500 0.500 0.500
8 F 0.636 0.636 0.906
9 F 0.778 0.778 0.337
10 F 0.919 0.919 0.755

---

2.
Theoretical X-ray diffraction stick pattern
Compound: NaY3F10
Radiation: Cu Kα (weighted mean of Kα1 and Kα2)
Structure: the GGA-PBE geometry in Alexandria

Main lines, low angle first (2θ from 5° to 70°):
two_theta, I/Imax
15.69, 16.5
22.74, 19.6
27.75, 100.0
31.69, 19.7
44.78, 9.8
45.43, 44.4
46.44, 73.8
54.07, 31.0
55.87, 16.1
66.20, 11.7

Crystal structure
Lattice parameters (Å, degrees): 5.647 5.647 10.840 90.00 90.00 90.00
Fractional positions:
1 Na 0.000 0.000 0.000
2 Na 0.000 0.000 0.500
3 Y 0.000 0.500 0.226
4 Y 0.000 0.500 0.774
5 Y 0.500 0.000 0.274
6 Y 0.500 0.000 0.726
7 Y 0.500 0.500 0.000
8 Y 0.500 0.500 0.500
9 F 0.000 0.000 0.250
10 F 0.000 0.000 0.750
11 F 0.000 0.500 0.000
12 F 0.261 0.288 0.368
13 F 0.261 0.288 0.632
14 F 0.261 0.712 0.368
15 F 0.261 0.712 0.632
16 F 0.288 0.261 0.132
17 F 0.288 0.261 0.868
18 F 0.288 0.739 0.132
19 F 0.288 0.739 0.868
20 F 0.500 0.000 0.500
21 F 0.712 0.261 0.132
22 F 0.712 0.261 0.868
23 F 0.712 0.739 0.132
24 F 0.712 0.739 0.868
25 F 0.739 0.288 0.368
26 F 0.739 0.288 0.632
27 F 0.739 0.712 0.368
28 F 0.739 0.712 0.632

---

3.
Theoretical X-ray diffraction stick pattern
Compound: Na2YF
Radiation: Cu Kα (weighted mean of Kα1 and Kα2)
Structure: the GGA-PBE geometry in Alexandria

Main lines, low angle first (2θ from 5° to 70°):
two_theta, I/Imax
15.67, 10.8
25.72, 100.0
30.26, 58.3
31.64, 7.6
36.70, 5.8
45.35, 40.0
48.27, 21.0
52.87, 25.6
59.73, 11.1
62.14, 7.3

Crystal structure
Lattice parameters (Å, degrees): 6.922 6.922 9.809 90.00 90.00 90.00
Fractional positions:
1 Na 0.000 0.000 0.000
2 Na 0.000 0.500 0.000
3 Na 0.250 0.250 0.750
4 Na 0.250 0.750 0.250
5 Na 0.500 0.000 0.500
6 Na 0.500 0.500 0.500
7 Na 0.750 0.250 0.750
8 Na 0.750 0.750 0.250
9 Y 0.000 0.250 0.375
10 Y 0.000 0.750 0.625
11 Y 0.500 0.250 0.125
12 Y 0.500 0.750 0.875
13 F 0.000 0.250 0.875
14 F 0.000 0.750 0.125
15 F 0.500 0.250 0.625
16 F 0.500 0.750 0.375

---

4.
Theoretical X-ray diffraction stick pattern
Compound: Na5Zn3F12
Radiation: Cu Kα (weighted mean of Kα1 and Kα2)
Structure: the GGA-PBE geometry in Alexandria

Main lines, low angle first (2θ from 5° to 70°):
two_theta, I/Imax
18.65, 100.0
32.60, 35.8
33.59, 59.8
39.43, 10.4
40.27, 30.9
47.51, 48.3
57.16, 12.4
58.17, 13.7
58.80, 37.3
65.61, 12.3

Crystal structure
Lattice parameters (Å, degrees): 9.515 9.515 3.223 90.00 90.00 120.00
Fractional positions:
1 Na 0.000 0.715 0.000
2 Na 0.285 0.285 0.000
3 Na 0.333 0.667 0.000
4 Na 0.667 0.333 0.000
5 Na 0.715 0.000 0.000
6 Zn 0.000 0.334 0.500
7 Zn 0.334 0.000 0.500
8 Zn 0.666 0.666 0.500
9 F 0.000 0.193 0.000
10 F 0.000 0.471 0.000
11 F 0.193 0.000 0.000
12 F 0.207 0.762 0.500
13 F 0.238 0.445 0.500
14 F 0.445 0.238 0.500
15 F 0.471 0.000 0.000
16 F 0.529 0.529 0.000
17 F 0.555 0.793 0.500
18 F 0.762 0.207 0.500
19 F 0.793 0.555 0.500
20 F 0.807 0.807 0.000

---

5.
Theoretical X-ray diffraction stick pattern
Compound: Na2ZnF5
Radiation: Cu Kα (weighted mean of Kα1 and Kα2)
Structure: the GGA-PBE geometry in Alexandria

Main lines, low angle first (2θ from 5° to 70°):
two_theta, I/Imax
16.85, 26.1
18.50, 86.8
24.34, 63.3
28.24, 61.5
30.40, 100.0
46.57, 34.2
48.26, 15.4
48.49, 50.0
48.65, 34.6
56.64, 30.2

Crystal structure
Lattice parameters (Å, degrees): 11.807 3.900 5.390 90.00 116.97 90.00
Fractional positions:
1 Na 0.179 0.000 0.180
2 Na 0.321 0.500 0.820
3 Na 0.679 0.500 0.180
4 Na 0.821 0.000 0.820
5 Zn 0.000 0.500 0.500
6 Zn 0.500 0.000 0.500
7 F 0.000 0.000 0.500
8 F 0.136 0.500 0.887
9 F 0.137 0.500 0.386
10 F 0.363 0.000 0.614
11 F 0.364 0.000 0.113
12 F 0.500 0.500 0.500
13 F 0.636 0.000 0.887
14 F 0.637 0.000 0.386
15 F 0.863 0.500 0.614
16 F 0.864 0.500 0.113

---

6.
Theoretical X-ray diffraction stick pattern
Compound: NaZnF
Radiation: Cu Kα (weighted mean of Kα1 and Kα2)
Structure: the GGA-PBE geometry in Alexandria

Main lines, low angle first (2θ from 5° to 70°):
two_theta, I/Imax
14.73, 26.7
29.71, 39.9
31.32, 83.0
34.77, 100.0
38.71, 6.9
43.71, 35.9
55.75, 28.7
56.04, 42.4
64.44, 23.6
67.44, 9.1

Crystal structure
Lattice parameters (Å, degrees): 12.030 3.294 5.718 90.00 90.00 90.00
Fractional positions:
1 Na 0.236 0.000 0.000
2 Na 0.236 0.500 0.500
3 Na 0.764 0.000 0.000
4 Na 0.764 0.500 0.500
5 Zn 0.000 0.000 0.335
6 Zn 0.000 0.500 0.835
7 Zn 0.500 0.000 0.332
8 Zn 0.500 0.500 0.832
9 F 0.317 0.000 0.333
10 F 0.317 0.500 0.833
11 F 0.683 0.000 0.333
12 F 0.683 0.500 0.833

---

7.
Theoretical X-ray diffraction stick pattern
Compound: Na4Zn3F10
Radiation: Cu Kα (weighted mean of Kα1 and Kα2)
Structure: the GGA-PBE geometry in Alexandria

Main lines, low angle first (2θ from 5° to 70°):
two_theta, I/Imax
19.14, 56.1
22.10, 100.0
31.12, 74.4
31.48, 98.9
44.59, 90.3
45.64, 37.0
48.04, 30.3
55.60, 40.0
64.90, 24.7
65.71, 41.8

Crystal structure
Lattice parameters (Å, degrees): 14.208 14.208 14.208 163.55 163.55 23.34
Fractional positions:
1 Na 0.070 0.070 0.000
2 Na 0.203 0.203 0.000
3 Na 0.797 0.797 0.000
4 Na 0.930 0.930 0.000
5 Zn 0.354 0.354 0.000
6 Zn 0.500 0.500 0.000
7 Zn 0.646 0.646 0.000
8 F 0.000 0.500 0.500
9 F 0.144 0.644 0.500
10 F 0.282 0.282 0.000
11 F 0.356 0.856 0.500
12 F 0.427 0.427 0.000
13 F 0.500 0.000 0.500
14 F 0.573 0.573 0.000
15 F 0.644 0.144 0.500
16 F 0.718 0.718 0.000
17 F 0.856 0.356 0.500

---

8.
Theoretical X-ray diffraction stick pattern
Compound: Na6ZnF8
Radiation: Cu Kα (weighted mean of Kα1 and Kα2)
Structure: the GGA-PBE geometry in Alexandria

Main lines, low angle first (2θ from 5° to 70°):
two_theta, I/Imax
16.42, 75.1
31.74, 21.9
33.20, 6.6
38.52, 100.0
42.13, 3.7
50.74, 16.6
55.61, 56.2
58.40, 12.6
66.32, 5.8
69.68, 15.8

Crystal structure
Lattice parameters (Å, degrees): 6.611 6.611 6.611 60.00 60.00 60.00
Fractional positions:
1 Na 0.000 0.000 0.500
2 Na 0.000 0.500 0.000
3 Na 0.000 0.500 0.500
4 Na 0.500 0.000 0.000
5 Na 0.500 0.000 0.500
6 Na 0.500 0.500 0.000
7 Zn 0.000 0.000 0.000
8 F 0.222 0.222 0.778
9 F 0.222 0.778 0.222
10 F 0.222 0.778 0.778
11 F 0.250 0.250 0.250
12 F 0.750 0.750 0.750
13 F 0.778 0.222 0.222
14 F 0.778 0.222 0.778
15 F 0.778 0.778 0.222

---

9.
Theoretical X-ray diffraction stick pattern
Compound: Na6Zn3F14
Radiation: Cu Kα (weighted mean of Kα1 and Kα2)
Structure: the GGA-PBE geometry in Alexandria

Main lines, low angle first (2θ from 5° to 70°):
two_theta, I/Imax
20.33, 67.9
20.85, 100.0
26.61, 37.8
29.28, 80.0
36.22, 75.0
39.40, 25.4
46.73, 32.2
50.08, 30.5
57.22, 37.5
61.11, 27.5

Crystal structure
Lattice parameters (Å, degrees): 8.520 8.520 5.421 90.00 90.00 120.00
Fractional positions:
1 Na 0.041 0.454 0.000
2 Na 0.248 0.218 0.490
3 Na 0.413 0.959 0.000
4 Na 0.546 0.587 0.000
5 Na 0.782 0.030 0.490
6 Na 0.970 0.752 0.490
7 Zn 0.000 0.000 0.040
8 Zn 0.333 0.667 0.566
9 Zn 0.667 0.333 0.526
10 F 0.000 0.000 0.693
11 F 0.035 0.214 0.212
12 F 0.174 0.729 0.741
13 F 0.179 0.965 0.212
14 F 0.271 0.445 0.741
15 F 0.333 0.667 0.219
16 F 0.455 0.193 0.734
17 F 0.521 0.401 0.324
18 F 0.555 0.826 0.741
19 F 0.599 0.120 0.324
20 F 0.738 0.545 0.734
21 F 0.786 0.821 0.212
22 F 0.807 0.262 0.734
23 F 0.880 0.479 0.324